The following is a theoretical XRD peak list of Fe2OF3. It was derived from a structure optimized by DFT (GGA+U), using Cu Kα (λ = 1.5418 Å).
Lines closer than 0.1° are merged.

Atomic structure:
Lattice parameters (Å, degrees): 5.7432 5.7432 5.7432 105.84 108.45 114.24
Fractional positions:
Fe: 0.9999 0.5013 0.9986
Fe: 0.2125 0.2500 0.4625
Fe: 0.5027 0.0013 0.0014
Fe: 0.7875 0.7500 0.5375
O: 0.0802 0.7475 0.8326
O: 0.9149 0.2475 0.1674
F: 0.4629 0.7483 0.2146
F: 0.4983 0.2916 0.2937
F: 0.4983 0.7047 0.7067
F: 0.5337 0.2483 0.7854
F: 0.9980 0.2047 0.7063
F: 0.9980 0.7916 0.2933

Largest 10 diffraction maxima, most intense first, 2θ from 10° to 90°:
- 2θ = 34.3°, I 100
- 2θ = 25.7°, I 92
- 2θ = 26.5°, I 90
- 2θ = 51.1°, I 59
- 2θ = 52.0°, I 47
- 2θ = 65.3°, I 35
- 2θ = 52.9°, I 21
- 2θ = 39.4°, I 19
- 2θ = 38.9°, I 19
- 2θ = 59.3°, I 18